Record 1
For InGe6, a DFT-relaxed cell (PBE, Alexandria) gives the computed PXRD pattern in this record (Cu Kα X-rays).
Peak positions follow from Bragg's law for the DFT cell and can differ from measured ones.

Principal peaks in the range 15° ≤ 2θ ≤ 90°, by intensity:
d [Å]  2θ/deg  I_rel  (hkl)
2.901  30.8  100.0  2 1 1
1.899  47.9  57.6  3 2 1
3.553  25.1  42.5  2 0 0
1.776  51.4  26.3  4 0 0
2.051  44.2  19.3  2 2 2
1.153  83.9  16.5  6 1 1
1.256  75.7  16.3  4 4 0
1.297  72.9  15.9  5 2 1
1.589  58.1  15.9  4 2 0
1.515  61.2  13.5  3 3 2

Structure:
```
data_InGe6
_chemical_formula_sum 'In2 Ge12'
_space_group_name_H-M_alt 'I m -3 m'
_space_group_IT_number 229
_space_group_name_Hall '-I 4 2 3'
_cell_length_a 7.106
_cell_length_b 7.106
_cell_length_c 7.106
_cell_angle_alpha 90.00
_cell_angle_beta 90.00
_cell_angle_gamma 90.00
loop_
_atom_site_label
_atom_site_type_symbol
_atom_site_fract_x
_atom_site_fract_y
_atom_site_fract_z
In1 In 0.000 0.000 0.000
Ge1 Ge 0.000 0.250 0.500
```

Record 2
For InGe, a DFT-relaxed cell (PBE, Alexandria) gives the computed PXRD pattern in this record (Cu Kα X-rays).
Peak positions follow from Bragg's law for the DFT cell and can differ from measured ones.

Principal peaks in the range 15° ≤ 2θ ≤ 90°, by intensity:
d [Å]  2θ/deg  I_rel  (hkl)
2.137  42.3  100.0  1 0 3
3.243  27.5  94.1  1 0 1
3.544  25.1  67.6  1 0 0
2.046  44.3  58.4  1 1 0
4.017  22.1  33.5  0 0 2
1.478  62.9  29.8  2 0 3
1.198  80.1  29.6  2 1 3
1.823  50.0  21.9  1 1 2
2.658  33.7  17.2  1 0 2
1.120  86.9  16.3  1 1 6

Structure:
```
data_InGe
_chemical_formula_sum 'In2 Ge2'
_space_group_name_H-M_alt 'P 63 m c'
_space_group_IT_number 186
_space_group_name_Hall 'P 6c -2c'
_cell_length_a 4.0924
_cell_length_b 4.0924
_cell_length_c 8.0345
_cell_angle_alpha 90.00
_cell_angle_beta 90.00
_cell_angle_gamma 120.00
loop_
_atom_site_label
_atom_site_type_symbol
_atom_site_fract_x
_atom_site_fract_y
_atom_site_fract_z
In1 In 0.3333 0.6667 0.0000
Ge1 Ge 0.3333 0.6667 0.6691
```

Record 3
For In6Ge2IrO8, a DFT-relaxed cell (PBE, Alexandria) gives the computed PXRD pattern in this record (Cu Kα X-rays).
Peak positions follow from Bragg's law for the DFT cell and can differ from measured ones.

Principal peaks in the range 15° ≤ 2θ ≤ 90°, by intensity:
d [Å]  2θ/deg  I_rel  (hkl)
1.816  50.2  100.0  4 4 0
2.966  30.1  99.8  2 2 2
2.569  34.9  97.2  4 0 0
3.098  28.8  41.4  3 1 1
1.549  59.7  38.9  6 2 2
1.149  84.3  35.5  8 4 0
5.137  17.3  33.4  2 0 0
2.297  39.2  29.9  4 2 0
1.483  62.6  25.5  4 4 4
1.179  81.7  16.5  6 6 2

Structure:
```
data_In6Ge2IrO8
_chemical_formula_sum 'In24 Ge8 Ir4 O32'
_space_group_name_H-M_alt 'F m -3 m'
_space_group_IT_number 225
_space_group_name_Hall '-F 4 2 3'
_cell_length_a 10.275
_cell_length_b 10.275
_cell_length_c 10.275
_cell_angle_alpha 90.00
_cell_angle_beta 90.00
_cell_angle_gamma 90.00
loop_
_atom_site_label
_atom_site_type_symbol
_atom_site_fract_x
_atom_site_fract_y
_atom_site_fract_z
In1 In 0.000 0.000 0.250
Ge1 Ge 0.250 0.250 0.250
Ir1 Ir 0.000 0.000 0.000
O1 O 0.147 0.147 0.353
```

Record 4
For KInGe2, a DFT-relaxed cell (PBE, Alexandria) gives the computed PXRD pattern in this record (Cu Kα X-rays).
Peak positions follow from Bragg's law for the DFT cell and can differ from measured ones.

Principal peaks in the range 15° ≤ 2θ ≤ 90°, by intensity:
d [Å]  2θ/deg  I_rel  (hkl)
3.083  29.0  100.0  1 0 4
2.318  38.8  66.8  1 1 0
2.269  39.7  34.5  1 0 7
2.180  41.4  34.4  1 1 3
1.853  49.2  22.0  0 2 4
1.447  64.4  18.9  2 1 4
1.736  52.7  17.5  1 0 10
1.329  70.9  12.3  2 1 7
1.621  56.8  12.0  0 2 7
1.338  70.3  10.9  3 0 0

Structure:
```
data_KInGe2
_chemical_formula_sum 'K3 In3 Ge6'
_space_group_name_H-M_alt 'R -3 m'
_space_group_IT_number 166
_space_group_name_Hall '-R 3 2"'
_cell_length_a 4.6365
_cell_length_b 4.6365
_cell_length_c 19.2483
_cell_angle_alpha 90.00
_cell_angle_beta 90.00
_cell_angle_gamma 120.00
loop_
_atom_site_label
_atom_site_type_symbol
_atom_site_fract_x
_atom_site_fract_y
_atom_site_fract_z
K1 K 0.0000 0.0000 0.0000
In1 In 0.0000 0.0000 0.5000
Ge1 Ge 0.0000 0.0000 0.2144
```

Record 5
For KLi2InGe, a DFT-relaxed cell (PBE, Alexandria) gives the computed PXRD pattern in this record (Cu Kα X-rays).
Peak positions follow from Bragg's law for the DFT cell and can differ from measured ones.

Principal peaks in the range 15° ≤ 2θ ≤ 90°, by intensity:
d [Å]  2θ/deg  I_rel  (hkl)
5.138  17.3  100.0  1 0 0
3.633  24.5  97.5  1 1 0
2.200  41.0  48.4  1 1 2
2.569  34.9  45.7  2 0 0
1.882  48.4  35.2  2 0 2
2.435  36.9  30.8  1 0 2
2.765  32.4  28.2  0 0 2
2.298  39.2  26.1  2 1 0
1.767  51.7  23.4  2 1 2
1.401  66.8  21.4  3 1 2

Structure:
```
data_KLi2InGe
_chemical_formula_sum 'K1 Li2 In1 Ge1'
_space_group_name_H-M_alt 'P 4/m m m'
_space_group_IT_number 123
_space_group_name_Hall '-P 4 2'
_cell_length_a 5.138
_cell_length_b 5.138
_cell_length_c 5.530
_cell_angle_alpha 90.00
_cell_angle_beta 90.00
_cell_angle_gamma 90.00
loop_
_atom_site_label
_atom_site_type_symbol
_atom_site_fract_x
_atom_site_fract_y
_atom_site_fract_z
K1 K 0.000 0.000 0.000
Li1 Li 0.000 0.500 0.500
In1 In 0.500 0.500 0.000
Ge1 Ge 0.500 0.500 0.500
```

Record 6
For K4In3GeO8, a DFT-relaxed cell (PBE, Alexandria) gives the computed PXRD pattern in this record (Cu Kα X-rays).
Peak positions follow from Bragg's law for the DFT cell and can differ from measured ones.

Principal peaks in the range 15° ≤ 2θ ≤ 90°, by intensity:
d [Å]  2θ/deg  I_rel  (hkl)
2.454  36.6  100.0  0 2 4
2.762  32.4  60.8  2 0 2
3.086  28.9  32.4  0 0 6
1.808  50.5  31.5  2 0 8
1.671  54.9  29.2  2 2 0
1.469  63.3  20.5  2 2 6
2.860  31.3  18.5  0 2 1
1.560  59.2  15.4  0 2 10
1.953  46.5  14.3  0 2 7
1.381  67.9  13.8  4 0 4

Structure:
```
data_K4In3GeO8
_chemical_formula_sum 'K12 In9 Ge3 O24'
_space_group_name_H-M_alt 'R -3 m'
_space_group_IT_number 166
_space_group_name_Hall '-R 3 2"'
_cell_length_a 6.6840
_cell_length_b 6.6840
_cell_length_c 18.5186
_cell_angle_alpha 90.00
_cell_angle_beta 90.00
_cell_angle_gamma 120.00
loop_
_atom_site_label
_atom_site_type_symbol
_atom_site_fract_x
_atom_site_fract_y
_atom_site_fract_z
K1 K 0.0000 0.0000 0.0000
K2 K 0.0000 0.5000 0.0000
In1 In 0.0000 0.5000 0.5000
Ge1 Ge 0.0000 0.0000 0.5000
O1 O 0.0000 0.0000 0.2284
O2 O 0.0163 0.5081 0.2268
```

Record 7
For KInGe2O6, a DFT-relaxed cell (PBE, Alexandria) gives the computed PXRD pattern in this record (Cu Kα X-rays).
Peak positions follow from Bragg's law for the DFT cell and can differ from measured ones.

Principal peaks in the range 15° ≤ 2θ ≤ 90°, by intensity:
d [Å]  2θ/deg  I_rel  (hkl)
3.229  27.6  100.0  2 2 -1
2.738  32.7  67.6  2 2 1
3.192  28.0  44.6  3 1 0
2.760  32.4  42.5  0 0 2
2.775  32.3  35.0  1 3 -1
4.772  18.6  28.4  1 1 -1
1.753  52.2  18.5  5 3 -1
4.823  18.4  16.4  0 2 0
1.636  56.2  15.5  1 3 -3
2.422  37.1  15.5  1 1 2

Structure:
```
data_KInGe2O6
_chemical_formula_sum 'K4 In4 Ge8 O24'
_space_group_name_H-M_alt 'C 1 2/c 1'
_space_group_IT_number 15
_space_group_name_Hall '-C 2yc'
_cell_length_a 10.516
_cell_length_b 9.647
_cell_length_c 5.720
_cell_angle_alpha 90.00
_cell_angle_beta 105.22
_cell_angle_gamma 90.00
loop_
_atom_site_label
_atom_site_type_symbol
_atom_site_fract_x
_atom_site_fract_y
_atom_site_fract_z
K1 K 0.000 0.188 0.250
In1 In 0.000 0.396 0.750
Ge1 Ge 0.216 0.089 0.792
O1 O 0.110 0.428 0.129
O2 O 0.150 0.016 0.024
O3 O 0.151 0.254 0.715
```

Record 8
For La3InGe, a DFT-relaxed cell (PBE, Alexandria) gives the computed PXRD pattern in this record (Cu Kα X-rays).
Peak positions follow from Bragg's law for the DFT cell and can differ from measured ones.

Principal peaks in the range 15° ≤ 2θ ≤ 90°, by intensity:
d [Å]  2θ/deg  I_rel  (hkl)
2.819  31.7  100.0  2 4 4
2.936  30.4  33.3  5 3 1
2.948  30.3  31.0  3 5 1
2.890  30.9  27.3  6 0 0
2.808  31.9  23.5  3 1 5
2.625  34.2  16.8  3 5 3
2.617  34.3  15.9  5 3 3
2.920  30.6  15.5  0 6 0
2.905  30.8  14.0  1 5 3
2.720  32.9  13.6  0 0 6

Structure:
```
data_La3InGe
_chemical_formula_sum 'La96 In32 Ge32'
_space_group_name_H-M_alt 'F m m 2'
_space_group_IT_number 42
_space_group_name_Hall 'F 2 -2'
_cell_length_a 17.361
_cell_length_b 17.523
_cell_length_c 16.321
_cell_angle_alpha 90.00
_cell_angle_beta 90.00
_cell_angle_gamma 90.00
loop_
_atom_site_label
_atom_site_type_symbol
_atom_site_fract_x
_atom_site_fract_y
_atom_site_fract_z
La1 La 0.000 0.000 0.000
La2 La 0.000 0.000 0.214
La3 La 0.000 0.000 0.487
La4 La 0.000 0.000 0.707
La5 La 0.000 0.167 0.850
La6 La 0.115 0.184 0.207
La7 La 0.117 0.187 0.482
La8 La 0.169 0.000 0.348
La9 La 0.181 0.120 0.984
La10 La 0.185 0.118 0.714
In1 In 0.000 0.173 0.644
In2 In 0.173 0.000 0.143
In3 In 0.176 0.000 0.551
In4 In 0.250 0.250 0.346
Ge1 Ge 0.000 0.123 0.348
Ge2 Ge 0.000 0.178 0.044
Ge3 Ge 0.120 0.000 0.851
Ge4 Ge 0.250 0.250 0.098
```